# Dy2Y7Pu
Calculated X-ray powder pattern, Cu Ka. Input: a PBE-relaxed structure.
Peak positions follow from Bragg's law for the DFT cell and can differ from measured ones.

Most intense lines, 2θ = 10–90°, low angle first:
d 3.071, 2θ 29.1, rel. 35, (2 0 0)
d 2.874, 2θ 31.1, rel. 100, (0 0 5)
d 2.768, 2θ 32.3, rel. 50, (2 0 -3)
d 2.755, 2θ 32.5, rel. 100, (1 1 2)
d 2.688, 2θ 33.3, rel. 50, (2 0 2)
d 2.673, 2θ 33.5, rel. 96, (1 1 -3)
d 1.786, 2θ 51.1, rel. 49, (3 1 -1)
d 1.517, 2θ 61.1, rel. 61, (3 1 -6)

Crystal structure
Cell lengths 6.2000, 3.5488, 14.5150 Å; angles 90.00, 98.13, 90.00 degrees
Space group P2/m (No. 10)
Asymmetric unit:
Dy  0.1316  0.0000  0.3982 x2
Y  0.1006  0.5000  0.8034 x2
Y  0.3664  0.5000  0.6008 x2
Y  0.3955  0.0000  0.1989 x2
Y  0.5000  0.5000  0.0000 x1
Pu  0.0000  0.0000  0.0000 x1

# TlInTcW2
Calculated X-ray powder pattern, Cu Ka. Input: a PBE-relaxed structure.
Peak positions follow from Bragg's law for the DFT cell and can differ from measured ones.

Most intense lines, 2θ = 10–90°, low angle first:
d 3.427, 2θ 26.0, rel. 62, (0 0 2)
d 3.048, 2θ 29.3, rel. 100, (1 1 1)
d 2.406, 2θ 37.4, rel. 48, (2 0 0)
d 1.969, 2θ 46.1, rel. 53, (2 0 2)
d 1.897, 2θ 48.0, rel. 26, (1 1 3)
d 1.524, 2θ 60.8, rel. 23, (2 2 2)
d 1.486, 2θ 62.5, rel. 24, (3 1 1)
d 1.396, 2θ 67.1, rel. 17, (2 0 4)

Crystal structure
Cell lengths 4.8123, 4.8123, 6.8537 Å; angles 90.00, 90.00, 90.00 degrees
Space group P4/mmm (No. 123)
Asymmetric unit:
Tl  0.0000  0.0000  0.0000 x1
In  0.5000  0.5000  0.0000 x1
Tc  0.0000  0.0000  0.5000 x1
W  0.0000  0.5000  0.5000 x2

# La2Th3Ge4
Calculated X-ray powder pattern, Cu Ka. Input: a PBE-relaxed structure.
Peak positions follow from Bragg's law for the DFT cell and can differ from measured ones.

Most intense lines, 2θ = 10–90°, low angle first:
d 3.583, 2θ 24.8, rel. 42, (1 1 -2)
d 3.011, 2θ 29.7, rel. 28, (1 2 1)
d 2.893, 2θ 30.9, rel. 100, (2 2 -1)
d 2.850, 2θ 31.4, rel. 44, (1 2 -2)
d 2.781, 2θ 32.2, rel. 50, (2 2 0)
d 2.723, 2θ 32.9, rel. 64, (1 1 2)
d 2.537, 2θ 35.4, rel. 28, (3 0 0)
d 2.526, 2θ 35.5, rel. 89, (1 1 -3)

Crystal structure
Cell lengths 8.2982, 8.1492, 8.0072 Å; angles 90.00, 113.47, 90.00 degrees
Space group P2_1/c (No. 14)
Asymmetric unit:
La  0.2059  0.1758  0.0603 x4
Th  0.2330  0.6640  0.2176 x4
Th  0.5000  0.0000  0.5000 x2
Ge  0.0924  0.5309  0.8217 x4
Ge  0.4983  0.1269  0.8751 x4

# Cs4CdAu3
Calculated X-ray powder pattern, Cu Ka. Input: a PBE-relaxed structure.
Peak positions follow from Bragg's law for the DFT cell and can differ from measured ones.

Most intense lines, 2θ = 10–90°, low angle first:
d 6.677, 2θ 13.3, rel. 41, (0 0 2)
d 3.518, 2θ 25.3, rel. 100, (1 1 1)
d 3.393, 2θ 26.3, rel. 63, (0 1 3)
d 2.821, 2θ 31.7, rel. 94, (1 1 3)
d 2.789, 2θ 32.1, rel. 51, (1 0 4)
d 2.620, 2θ 34.2, rel. 39, (0 2 0)
d 2.538, 2θ 35.4, rel. 36, (2 0 0)
d 1.910, 2θ 47.6, rel. 35, (1 2 4)

Crystal structure
Cell lengths 5.0766, 5.2407, 13.3535 Å; angles 90.00, 90.00, 90.00 degrees
Space group Pmm2 (No. 25)
Asymmetric unit:
Cs  0.0000  0.0000  0.0000 x1
Cs  0.0000  0.5000  0.4694 x1
Cs  0.5000  0.0000  0.6916 x1
Cs  0.5000  0.5000  0.2077 x1
Cd  0.0000  0.5000  0.7929 x1
Au  0.0000  0.0000  0.2781 x1
Au  0.5000  0.0000  0.4032 x1
Au  0.5000  0.5000  0.8979 x1

# EuDy3
Calculated X-ray powder pattern, Cu Ka. Input: a PBE-relaxed structure.
Peak positions follow from Bragg's law for the DFT cell and can differ from measured ones.

Most intense lines, 2θ = 10–90°, low angle first:
d 3.158, 2θ 28.3, rel. 24, (0 0 2)
d 2.891, 2θ 30.9, rel. 25, (0 4 0)
d 2.772, 2θ 32.3, rel. 100, (1 2 1)
d 2.132, 2θ 42.4, rel. 16, (0 4 2)
d 1.826, 2θ 50.0, rel. 13, (1 0 3)
d 1.645, 2θ 55.9, rel. 21, (1 6 1)
d 1.544, 2θ 59.9, rel. 15, (1 4 3)
d 1.522, 2θ 60.9, rel. 11, (2 2 2)

Crystal structure
Cell lengths 3.6388, 11.5633, 6.3308 Å; angles 90.00, 90.00, 90.00 degrees
Space group Imm2 (No. 44)
Asymmetric unit:
Eu  0.0000  0.0000  0.0000 x2
Dy  0.0000  0.2436  0.6632 x4
Dy  0.0000  0.5000  0.9966 x2

# GaHgPd2
Calculated X-ray powder pattern, Cu Ka. Input: a PBE-relaxed structure.
Peak positions follow from Bragg's law for the DFT cell and can differ from measured ones.

Most intense lines, 2θ = 10–90°, low angle first:
d 2.799, 2θ 32.0, rel. 26, (1 0 1)
d 2.383, 2θ 37.8, rel. 10, (0 0 3)
d 2.316, 2θ 38.9, rel. 100, (1 0 2)
d 2.151, 2θ 42.0, rel. 45, (1 1 0)
d 1.597, 2θ 57.7, rel. 11, (1 1 3)
d 1.521, 2θ 60.9, rel. 15, (2 0 0)
d 1.374, 2θ 68.2, rel. 13, (1 1 4)
d 1.271, 2θ 74.7, rel. 29, (2 1 2)

Crystal structure
Cell lengths 3.0416, 3.0416, 7.1480 Å; angles 90.00, 90.00, 90.00 degrees
Space group P4/mmm (No. 123)
Asymmetric unit:
Ga  0.0000  0.0000  0.0000 x1
Hg  0.0000  0.0000  0.5000 x1
Pd  0.5000  0.5000  0.2101 x2

# PrThNi4
Calculated X-ray powder pattern, Cu Ka. Input: a PBE-relaxed structure.
Peak positions follow from Bragg's law for the DFT cell and can differ from measured ones.

Most intense lines, 2θ = 10–90°, low angle first:
d 4.234, 2θ 21.0, rel. 22, (1 1 1)
d 2.593, 2θ 34.6, rel. 68, (2 2 0)
d 2.211, 2θ 40.8, rel. 100, (3 1 1)
d 2.117, 2θ 42.7, rel. 14, (2 2 2)
d 1.497, 2θ 62.0, rel. 26, (4 2 2)
d 1.411, 2θ 66.2, rel. 31, (3 3 3)
d 1.296, 2θ 73.0, rel. 22, (4 4 0)
d 1.160, 2θ 83.3, rel. 11, (6 2 0)

Crystal structure
Cell lengths 7.3334, 7.3334, 7.3334 Å; angles 90.00, 90.00, 90.00 degrees
Space group F-43m (No. 216)
Asymmetric unit:
Pr  0.0000  0.0000  0.0000 x4
Th  0.2500  0.2500  0.2500 x4
Ni  0.1243  0.1243  0.6243 x16

# Sr5In
Calculated X-ray powder pattern, Cu Ka. Input: a PBE-relaxed structure.
Peak positions follow from Bragg's law for the DFT cell and can differ from measured ones.

Most intense lines, 2θ = 10–90°, low angle first:
d 3.375, 2θ 26.4, rel. 39, (4 0 -2)
d 3.286, 2θ 27.1, rel. 59, (2 0 2)
d 3.234, 2θ 27.6, rel. 100, (1 1 -2)
d 3.083, 2θ 29.0, rel. 100, (3 1 0)
d 2.126, 2θ 42.5, rel. 22, (0 2 0)
d 1.920, 2θ 47.3, rel. 16, (1 1 4)
d 1.826, 2θ 50.0, rel. 19, (5 1 2)
d 1.785, 2θ 51.2, rel. 20, (2 2 2)

Crystal structure
Cell lengths 14.4551, 4.2510, 9.9677 Å; angles 90.00, 111.70, 90.00 degrees
Space group C2/m (No. 12)
Asymmetric unit:
Sr  0.0000  0.0000  0.0000 x2
Sr  0.1346  0.5000  0.3669 x4
Sr  0.1663  0.5000  0.7870 x4
In  0.0000  0.0000  0.5000 x2

What did the seventh record say?
# PrThNi4
Calculated X-ray powder pattern, Cu Ka. Input: a PBE-relaxed structure.
Peak positions follow from Bragg's law for the DFT cell and can differ from measured ones.

Most intense lines, 2θ = 10–90°, low angle first:
d 4.234, 2θ 21.0, rel. 22, (1 1 1)
d 2.593, 2θ 34.6, rel. 68, (2 2 0)
d 2.211, 2θ 40.8, rel. 100, (3 1 1)
d 2.117, 2θ 42.7, rel. 14, (2 2 2)
d 1.497, 2θ 62.0, rel. 26, (4 2 2)
d 1.411, 2θ 66.2, rel. 31, (3 3 3)
d 1.296, 2θ 73.0, rel. 22, (4 4 0)
d 1.160, 2θ 83.3, rel. 11, (6 2 0)

Crystal structure
Cell lengths 7.3334, 7.3334, 7.3334 Å; angles 90.00, 90.00, 90.00 degrees
Space group F-43m (No. 216)
Asymmetric unit:
Pr  0.0000  0.0000  0.0000 x4
Th  0.2500  0.2500  0.2500 x4
Ni  0.1243  0.1243  0.6243 x16

Please write out number 8 again, unchanged.
# Sr5In
Calculated X-ray powder pattern, Cu Ka. Input: a PBE-relaxed structure.
Peak positions follow from Bragg's law for the DFT cell and can differ from measured ones.

Most intense lines, 2θ = 10–90°, low angle first:
d 3.375, 2θ 26.4, rel. 39, (4 0 -2)
d 3.286, 2θ 27.1, rel. 59, (2 0 2)
d 3.234, 2θ 27.6, rel. 100, (1 1 -2)
d 3.083, 2θ 29.0, rel. 100, (3 1 0)
d 2.126, 2θ 42.5, rel. 22, (0 2 0)
d 1.920, 2θ 47.3, rel. 16, (1 1 4)
d 1.826, 2θ 50.0, rel. 19, (5 1 2)
d 1.785, 2θ 51.2, rel. 20, (2 2 2)

Crystal structure
Cell lengths 14.4551, 4.2510, 9.9677 Å; angles 90.00, 111.70, 90.00 degrees
Space group C2/m (No. 12)
Asymmetric unit:
Sr  0.0000  0.0000  0.0000 x2
Sr  0.1346  0.5000  0.3669 x4
Sr  0.1663  0.5000  0.7870 x4
In  0.0000  0.0000  0.5000 x2